Diffraction record for HgAu2Cl. The powder diffractogram is computed, not measured: it uses DFT lattice parameters and positions (PBE) and Cu Ka.

Principal peaks in the range 10° ≤ 2θ ≤ 90°, by angle:
Position (°2θ), intensity, (hkl)
12.92, 88, 0 0 1
22.52, 16, 0 1 0
34.17, 67, 1 1 0
34.66, 46, 0 1 2
36.65, 100, 1 0 2
45.92, 50, 0 2 0
47.47, 22, 1 0 3
60.16, 26, 1 2 2
71.92, 27, 2 2 0
78.76, 17, 1 1 5

Structural model:
abc: 3.512 3.949 6.854
angles: 90.00 90.00 90.00
Space group Pmmm (No. 47)
Inequivalent atoms, fractional coordinates:
Hg: 0.000 0.000 0.000 (multiplicity 1)
Au: 0.500 0.500 0.196 (multiplicity 2)
Cl: 0.000 0.500 0.500 (multiplicity 1)